# K3Cu2AgF9
Computed powder diffractogram, copper Kα. Input: a PBE-relaxed structure.
Lines closer than 0.1° are merged.

Largest 6 diffraction maxima, in order of falling intensity, 10 to 90 degrees two-theta:
index	Position (°2θ)	I/Imax
2 0 2	43.36	100.0
0 1 2	30.19	96.7
1 1 0	30.38	94.3
1 0 1	21.29	85.2
1 2 2	53.86	34.0
2 2 0	63.21	27.6

Structure:
Lattice parameters (Å, degrees): 5.8841 5.8841 7.2751 90.00 90.00 120.00
Space group P-3m1 (No. 164)
Symmetry-distinct sites (fractional):
K 0.0000 0.0000 0.0000
K 0.3333 0.6667 0.6653
Cu 0.3333 0.6667 0.1545
Ag 0.0000 0.0000 0.5000
F 0.0000 0.5000 0.0000
F 0.1756 0.3512 0.3148